Ce3YN: theoretical powder diffractogram (Cu Kα (λ = 1.5418 Å)), based on a structure optimized by DFT (GGA-PBE).

Principal peaks in the range 10° ≤ 2θ ≤ 90°, in order of rising 2θ:
2theta  I_rel
31.2  100
36.2  56
52.2  39
62.1  42
65.2  13
76.9  6
85.3  17
88.1  18

Structure:
Unit cell a=4.958 b=4.958 c=4.958 alpha=90.00 beta=90.00 gamma=90.00
Element x y z (fractional)
Ce 0.000 0.000 0.500
Ce 0.000 0.500 0.000
Ce 0.500 0.000 0.000
Y 0.500 0.500 0.500
N 0.000 0.000 0.000

Ce4YN4: theoretical powder diffractogram (Cu Kα (λ = 1.5418 Å)), based on a structure optimized by DFT (GGA-PBE).

Principal peaks in the range 10° ≤ 2θ ≤ 90°, in order of rising 2θ:
2theta  I_rel
30.8  100
35.3  24
36.0  46
51.3  32
51.8  16
60.6  15
61.5  28
64.2  16

Structure:
Unit cell a=6.136 b=6.136 c=6.136 alpha=99.90 beta=99.90 gamma=131.02
Element x y z (fractional)
Ce 0.105 0.307 0.412
Ce 0.307 0.895 0.203
Ce 0.693 0.105 0.797
Ce 0.895 0.693 0.588
Y 0.500 0.500 0.000
N 0.203 0.596 0.798
N 0.404 0.203 0.607
N 0.596 0.797 0.393
N 0.797 0.404 0.202

CeZrN2: theoretical powder diffractogram (Cu Kα (λ = 1.5418 Å)), based on a structure optimized by DFT (GGA-PBE).

Principal peaks in the range 10° ≤ 2θ ≤ 90°, in order of rising 2θ:
2theta  I_rel
31.2  37
31.9  54
34.7  100
39.0  55
50.8  21
54.9  33
57.8  25
64.5  28

Structure:
Unit cell a=3.345 b=3.345 c=11.466 alpha=90.00 beta=90.00 gamma=120.00
Element x y z (fractional)
Ce 0.333 0.667 0.250
Ce 0.667 0.333 0.750
Zr 0.000 0.000 0.000
Zr 0.000 0.000 0.500
N 0.333 0.667 0.611
N 0.333 0.667 0.889
N 0.667 0.333 0.111
N 0.667 0.333 0.389

Na5Ce3Ti6Nb2O24: theoretical powder diffractogram (Cu Kα (λ = 1.5418 Å)), based on a structure optimized by DFT (GGA-PBE).

Principal peaks in the range 10° ≤ 2θ ≤ 90°, in order of rising 2θ:
2theta  I_rel
19.6  28
19.9  31
32.3  24
32.5  100
32.9  26
46.6  36
46.8  17
58.4  13

Structure:
Unit cell a=5.448 b=5.549 c=15.579 alpha=89.94 beta=89.99 gamma=89.76
Element x y z (fractional)
Na 0.000 0.000 0.000
Na 0.001 0.017 0.501
Na 0.496 0.569 0.249
Na 0.497 0.564 0.752
Na 0.505 0.512 0.502
Ce 0.010 0.084 0.247
Ce 0.011 0.084 0.753
Ce 0.513 0.478 0.000
Ti 0.008 0.540 0.125
Ti 0.009 0.540 0.875
Ti 0.505 0.045 0.372
Ti 0.508 0.024 0.123
Ti 0.509 0.024 0.877
Ti 0.999 0.541 0.627
Nb 0.505 0.034 0.620
Nb 0.996 0.546 0.381
O 0.075 0.541 0.502
O 0.084 0.550 0.000
O 0.203 0.828 0.855
O 0.204 0.826 0.647
O 0.204 0.827 0.145
O 0.208 0.827 0.353
O 0.283 0.312 0.651
O 0.284 0.317 0.859
O 0.285 0.316 0.141
O 0.288 0.307 0.349
O 0.433 0.049 0.000
O 0.440 0.057 0.498
O 0.584 0.009 0.248
O 0.584 0.011 0.754
O 0.702 0.734 0.899
O 0.703 0.734 0.102
O 0.706 0.738 0.392
O 0.715 0.739 0.609
O 0.784 0.245 0.893
O 0.785 0.244 0.107
O 0.802 0.228 0.385
O 0.802 0.239 0.615
O 0.933 0.516 0.247
O 0.933 0.518 0.752

NaCe3Nd4Se8: theoretical powder diffractogram (Cu Kα (λ = 1.5418 Å)), based on a structure optimized by DFT (GGA-PBE).

Principal peaks in the range 10° ≤ 2θ ≤ 90°, in order of rising 2θ:
2theta  I_rel
25.8  10
29.9  100
42.8  75
53.1  20
62.1  12
70.4  17
70.5  17
78.4  19

Structure:
Unit cell a=8.450 b=8.450 c=8.465 alpha=119.94 beta=119.94 gamma=59.99
Element x y z (fractional)
Na 0.000 0.000 0.000
Ce 0.000 0.500 0.000
Ce 0.500 0.000 0.000
Ce 0.500 0.500 0.000
Nd 0.000 0.000 0.500
Nd 0.000 0.500 0.500
Nd 0.500 0.000 0.500
Nd 0.500 0.500 0.500
Se 0.247 0.752 0.247
Se 0.248 0.753 0.753
Se 0.249 0.249 0.248
Se 0.250 0.250 0.752
Se 0.750 0.750 0.248
Se 0.751 0.751 0.752
Se 0.752 0.247 0.247
Se 0.753 0.248 0.753

Na4Ce3NpS8: theoretical powder diffractogram (Cu Kα (λ = 1.5418 Å)), based on a structure optimized by DFT (GGA-PBE).

Principal peaks in the range 10° ≤ 2θ ≤ 90°, in order of rising 2θ:
2theta  I_rel
13.3  86
25.5  49
26.6  31
30.9  100
33.7  20
44.2  36
44.3  35
46.3  22

Structure:
Unit cell a=8.177 b=8.177 c=8.177 alpha=60.21 beta=60.21 gamma=60.21
Element x y z (fractional)
Na 0.000 0.000 0.000
Na 0.000 0.500 0.500
Na 0.500 0.000 0.500
Na 0.500 0.500 0.000
Ce 0.000 0.000 0.500
Ce 0.000 0.500 0.000
Ce 0.500 0.000 0.000
Np 0.500 0.500 0.500
S 0.245 0.245 0.245
S 0.248 0.741 0.741
S 0.259 0.259 0.752
S 0.259 0.752 0.259
S 0.741 0.248 0.741
S 0.741 0.741 0.248
S 0.752 0.259 0.259
S 0.755 0.755 0.755